[1]
This entry pairs a crystal structure of ThNi2Ge2 with its simulated powder diffractogram. Radiation: Cu Kα (weighted mean of Kα1 and Kα2). Structure: a crystal structure in the Materials Project, relaxed with PBE.
Lines closer than 0.1° are merged.

Peak list (8 most intense, 2θ from 10° to 90°, low angle first)
| two_theta | intensity |
| --- | --- |
| 23.15 | 34 |
| 30.23 | 37 |
| 35.00 | 100 |
| 35.53 | 95 |
| 43.28 | 60 |
| 51.79 | 26 |
| 56.83 | 51 |
| 69.73 | 22 |

Structure:
```
data_ThNi2Ge2
_chemical_formula_sum 'Th2 Ni4 Ge4'
_space_group_name_H-M_alt 'I 4/m m m'
_space_group_IT_number 139
_space_group_name_Hall '-I 4 2'
_cell_length_a 4.181
_cell_length_b 4.181
_cell_length_c 9.736
_cell_angle_alpha 90.00
_cell_angle_beta 90.00
_cell_angle_gamma 90.00
loop_
_atom_site_label
_atom_site_type_symbol
_atom_site_fract_x
_atom_site_fract_y
_atom_site_fract_z
Th1 Th 0.000 0.000 0.000
Ni1 Ni 0.000 0.500 0.250
Ge1 Ge 0.000 0.000 0.368
```

=====

[2]
This entry pairs a crystal structure of Nd2TlIn with its simulated powder diffractogram. Radiation: Cu Kα (weighted mean of Kα1 and Kα2). Structure: a crystal structure in the Materials Project, relaxed with PBE.
Lines closer than 0.1° are merged.

Peak list (8 most intense, 2θ from 10° to 90°, low angle first)
| two_theta | intensity |
| --- | --- |
| 19.71 | 4 |
| 32.47 | 100 |
| 38.27 | 2 |
| 46.58 | 18 |
| 57.92 | 38 |
| 67.99 | 12 |
| 77.38 | 16 |
| 86.44 | 4 |

Structure:
```
data_Nd2TlIn
_chemical_formula_sum 'Nd8 Tl4 In4'
_space_group_name_H-M_alt 'F m -3 m'
_space_group_IT_number 225
_space_group_name_Hall '-F 4 2 3'
_cell_length_a 7.800
_cell_length_b 7.800
_cell_length_c 7.800
_cell_angle_alpha 90.00
_cell_angle_beta 90.00
_cell_angle_gamma 90.00
loop_
_atom_site_label
_atom_site_type_symbol
_atom_site_fract_x
_atom_site_fract_y
_atom_site_fract_z
Nd1 Nd 0.250 0.250 0.250
Tl1 Tl 0.000 0.000 0.000
In1 In 0.000 0.000 0.500
```

=====

[3]
This entry pairs a crystal structure of ReSbOF9 with its simulated powder diffractogram. Radiation: Cu Kα (weighted mean of Kα1 and Kα2). Structure: a crystal structure in the Materials Project, relaxed with PBE.
Lines closer than 0.1° are merged.

Peak list (8 most intense, 2θ from 10° to 90°, low angle first)
| two_theta | intensity |
| --- | --- |
| 18.06 | 34 |
| 19.08 | 75 |
| 19.91 | 55 |
| 21.92 | 100 |
| 22.49 | 29 |
| 23.04 | 43 |
| 49.22 | 22 |
| 50.88 | 27 |

Structure:
```
data_ReSbOF9
_chemical_formula_sum 'Re4 Sb4 O4 F36'
_space_group_name_H-M_alt 'P 1 21/c 1'
_space_group_IT_number 14
_cell_length_a 5.785
_cell_length_b 10.480
_cell_length_c 12.978
_cell_angle_alpha 90.00
_cell_angle_beta 99.29
_cell_angle_gamma 90.00
loop_
_space_group_symop_operation_xyz
'x,y,z'
'-x,-y,-z'
'-x,y+1/2,-z+1/2'
'x,-y+1/2,z+1/2'
loop_
_atom_site_label
_atom_site_type_symbol
_atom_site_fract_x
_atom_site_fract_y
_atom_site_fract_z
Re1 Re 0.176 0.024 0.297
Sb1 Sb 0.483 0.745 0.502
O1 O 0.018 0.152 0.253
F1 F 0.033 0.071 0.637
F2 F 0.117 0.587 0.683
F3 F 0.240 0.670 0.055
F4 F 0.250 0.194 0.054
F5 F 0.296 0.607 0.445
F6 F 0.307 0.096 0.441
F7 F 0.403 0.173 0.866
F8 F 0.406 0.646 0.877
F9 F 0.475 0.054 0.263
```

=====

[4]
This entry pairs a crystal structure of KNb3F9 with its simulated powder diffractogram. Radiation: Cu Kα (weighted mean of Kα1 and Kα2). Structure: a crystal structure in the Materials Project, relaxed with PBE.
Lines closer than 0.1° are merged.

Peak list (8 most intense, 2θ from 10° to 90°, low angle first)
| two_theta | intensity |
| --- | --- |
| 12.86 | 26 |
| 21.22 | 46 |
| 25.89 | 100 |
| 31.02 | 25 |
| 45.65 | 39 |
| 50.86 | 22 |
| 51.06 | 30 |
| 64.67 | 23 |

Structure:
```
data_KNb3F9
_chemical_formula_sum 'K4 Nb12 F36'
_space_group_name_H-M_alt 'C 2 2 21'
_space_group_IT_number 20
_cell_length_a 7.943
_cell_length_b 13.777
_cell_length_c 8.376
_cell_angle_alpha 90.00
_cell_angle_beta 90.00
_cell_angle_gamma 90.00
loop_
_space_group_symop_operation_xyz
'x,y,z'
'-x,-y,z+1/2'
'x,-y,-z'
'-x,y,-z+1/2'
'x+1/2,y+1/2,z'
'-x+1/2,-y+1/2,z+1/2'
'x+1/2,-y+1/2,-z'
'-x+1/2,y+1/2,-z+1/2'
loop_
_atom_site_label
_atom_site_type_symbol
_atom_site_fract_x
_atom_site_fract_y
_atom_site_fract_z
K1 K 0.000 0.002 0.250
Nb1 Nb 0.001 0.500 0.500
Nb2 Nb 0.249 0.250 0.993
F1 F 0.000 0.192 0.029
F2 F 0.000 0.487 0.250
F3 F 0.214 0.405 0.517
F4 F 0.214 0.405 0.979
F5 F 0.224 0.233 0.743
```

=====

[5]
This entry pairs a crystal structure of Ba2PrTiO6 with its simulated powder diffractogram. Radiation: Cu Kα (weighted mean of Kα1 and Kα2). Structure: a crystal structure in the Materials Project, relaxed with PBE.
Lines closer than 0.1° are merged.

Peak list (8 most intense, 2θ from 10° to 90°, low angle first)
| two_theta | intensity |
| --- | --- |
| 17.75 | 7 |
| 29.18 | 100 |
| 34.36 | 7 |
| 41.74 | 31 |
| 51.74 | 40 |
| 60.51 | 19 |
| 68.57 | 18 |
| 83.60 | 21 |

Structure:
```
data_Ba2PrTiO6
_chemical_formula_sum 'Ba8 Pr4 Ti4 O24'
_space_group_name_H-M_alt 'F m -3 m'
_space_group_IT_number 225
_space_group_name_Hall '-F 4 2 3'
_cell_length_a 8.656
_cell_length_b 8.656
_cell_length_c 8.656
_cell_angle_alpha 90.00
_cell_angle_beta 90.00
_cell_angle_gamma 90.00
loop_
_atom_site_label
_atom_site_type_symbol
_atom_site_fract_x
_atom_site_fract_y
_atom_site_fract_z
Ba1 Ba 0.250 0.250 0.250
Pr1 Pr 0.000 0.000 0.000
Ti1 Ti 0.000 0.000 0.500
O1 O 0.000 0.000 0.271
```

=====

[6]
This entry pairs a crystal structure of Ca2ScNbO6 with its simulated powder diffractogram. Radiation: Cu Kα (weighted mean of Kα1 and Kα2). Structure: a crystal structure in the Materials Project, relaxed with PBE.
Lines closer than 0.1° are merged.

Peak list (8 most intense, 2θ from 10° to 90°, low angle first)
| two_theta | intensity |
| --- | --- |
| 19.10 | 15 |
| 22.35 | 34 |
| 31.23 | 25 |
| 31.83 | 100 |
| 32.35 | 22 |
| 45.62 | 50 |
| 55.96 | 16 |
| 57.36 | 26 |

Structure:
```
data_Ca2ScNbO6
_chemical_formula_sum 'Ca4 Sc2 Nb2 O12'
_space_group_name_H-M_alt 'P 1 21/c 1'
_space_group_IT_number 14
_cell_length_a 5.536
_cell_length_b 5.727
_cell_length_c 9.681
_cell_angle_alpha 90.00
_cell_angle_beta 124.85
_cell_angle_gamma 90.00
loop_
_space_group_symop_operation_xyz
'x,y,z'
'-x,-y,-z'
'-x,y+1/2,-z+1/2'
'x,-y+1/2,z+1/2'
loop_
_atom_site_label
_atom_site_type_symbol
_atom_site_fract_x
_atom_site_fract_y
_atom_site_fract_z
Ca1 Ca 0.237 0.053 0.251
Sc1 Sc 0.500 0.000 0.000
Nb1 Nb 0.000 0.000 0.500
O1 O 0.140 0.209 0.946
O2 O 0.242 0.697 0.949
O3 O 0.343 0.033 0.744
```

=====

[7]
This entry pairs a crystal structure of Ho8MgGe8O28 with its simulated powder diffractogram. Radiation: Cu Kα (weighted mean of Kα1 and Kα2). Structure: a crystal structure in the Materials Project, relaxed with PBE.
Lines closer than 0.1° are merged.

Peak list (8 most intense, 2θ from 10° to 90°, low angle first)
| two_theta | intensity |
| --- | --- |
| 14.55 | 32 |
| 26.88 | 51 |
| 27.14 | 47 |
| 27.53 | 100 |
| 29.28 | 49 |
| 32.09 | 45 |
| 32.52 | 42 |
| 32.74 | 38 |

Structure:
```
data_Ho8MgGe8O28
_chemical_formula_sum 'Ho16 Mg2 Ge16 O56'
_space_group_name_H-M_alt 'C 1 2 1'
_space_group_IT_number 5
_cell_length_a 9.659
_cell_length_b 9.657
_cell_length_c 12.964
_cell_angle_alpha 90.00
_cell_angle_beta 91.53
_cell_angle_gamma 90.00
loop_
_space_group_symop_operation_xyz
'x,y,z'
'-x,y,-z'
'x+1/2,y+1/2,z'
'-x+1/2,y+1/2,-z'
loop_
_atom_site_label
_atom_site_type_symbol
_atom_site_fract_x
_atom_site_fract_y
_atom_site_fract_z
Ho1 Ho 0.102 0.000 0.137
Ho2 Ho 0.109 0.489 0.391
Ho3 Ho 0.231 0.857 0.378
Ho4 Ho 0.234 0.631 0.147
Mg1 Mg 0.000 0.238 0.000
Ge1 Ge 0.032 0.123 0.624
Ge2 Ge 0.054 0.407 0.852
Ge3 Ge 0.134 0.715 0.629
Ge4 Ge 0.138 0.767 0.888
O1 O 0.000 0.046 0.500
O2 O 0.000 0.440 0.000
O3 O 0.030 0.304 0.616
O4 O 0.032 0.204 0.858
O5 O 0.046 0.759 0.112
O6 O 0.048 0.724 0.374
O7 O 0.077 0.017 0.304
O8 O 0.090 0.476 0.222
O9 O 0.135 0.951 0.914
O10 O 0.142 0.546 0.570
O11 O 0.197 0.713 0.762
O12 O 0.207 0.111 0.671
O13 O 0.229 0.368 0.794
O14 O 0.230 0.832 0.557
O15 O 0.233 0.174 0.036
```